[1]
# Sm3Er2Tl6
Calculated X-ray diffraction stick pattern, a wavelength of 1.5418 Å. Input: a crystal structure in Alexandria, relaxed with PBE.
Kinematic intensities with the Lorentz-polarization factor, no thermal factor.

Cell and atoms:
```
Sm3Er2Tl6
1.0
-2.3989 2.3989 14.5945
2.3989 -2.3989 14.5945
2.3989 2.3989 -14.5945
Sm Er Tl
3 2 6
Direct
0.0000 0.0000 0.0000
0.1988 0.1988 0.0000
0.8012 0.8012 0.0000
0.4464 0.4464 0.0000
0.5536 0.5536 0.0000
0.1172 0.6172 0.5000
0.3056 0.3056 0.0000
0.3828 0.8828 0.5000
0.6172 0.1172 0.5000
0.6944 0.6944 0.0000
0.8828 0.3828 0.5000
```

Principal peaks in the range 2θ = 5–70°, by angle:
| 2theta | intensity |
| --- | --- |
| 12.1 | 23 |
| 29.0 | 100 |
| 32.2 | 17 |
| 33.3 | 16 |
| 36.2 | 96 |
| 37.5 | 74 |
| 49.2 | 14 |
| 53.7 | 18 |
| 54.1 | 26 |
| 62.5 | 23 |
| 64.1 | 15 |
| 66.8 | 33 |

---

[2]
# Sm2ErTl4
Calculated X-ray diffraction stick pattern, a wavelength of 1.5418 Å. Input: a crystal structure in Alexandria, relaxed with PBE.
Kinematic intensities with the Lorentz-polarization factor, no thermal factor.

Cell and atoms:
```
Sm2ErTl4
1.0
7.3289 0.0000 0.0000
0.0000 7.3289 0.0000
0.0000 0.0000 8.0463
Sm Er Tl
4 2 8
Direct
0.0000 0.5000 0.0000
0.0000 0.5000 0.5000
0.5000 0.0000 0.0000
0.5000 0.0000 0.5000
0.0000 0.0000 0.0000
0.5000 0.5000 0.5000
0.2500 0.2500 0.2500
0.2500 0.2500 0.7500
0.2500 0.7500 0.2500
0.2500 0.7500 0.7500
0.7500 0.2500 0.2500
0.7500 0.2500 0.7500
0.7500 0.7500 0.2500
0.7500 0.7500 0.7500
```

Principal peaks in the range 2θ = 5–70°, by angle:
| 2theta | intensity |
| --- | --- |
| 16.4 | 10 |
| 22.1 | 5 |
| 24.3 | 7 |
| 29.4 | 5 |
| 33.1 | 100 |
| 34.6 | 44 |
| 41.5 | 4 |
| 45.1 | 12 |
| 49.8 | 16 |
| 58.0 | 21 |
| 61.1 | 35 |
| 69.4 | 12 |